This entry pairs a crystal structure of K6MnS4 with its computed X-ray powder pattern. Radiation: Cu Kα (weighted mean of Kα1 and Kα2). Structure: DFT lattice parameters and positions (PBE).

Principal peaks in the range 2θ from 15° to 90°, sorted by position:
2θ = 15.4°, I 24
2θ = 25.2°, I 21
2θ = 29.9°, I 83
2θ = 31.1°, I 79
2θ = 33.4°, I 33
2θ = 36.3°, I 100
2θ = 40.8°, I 18
2θ = 52.2°, I 12
2θ = 54.8°, I 16
2θ = 59.0°, I 20

```
data_K6MnS4
_chemical_formula_sum 'K12 Mn2 S8'
_cell_length_a 9.902
_cell_length_b 9.902
_cell_length_c 7.743
_cell_angle_alpha 90.00
_cell_angle_beta 90.00
_cell_angle_gamma 120.00
_space_group_name_H-M_alt 'P 1'
_space_group_IT_number 1
_space_group_name_Hall 'P 1'
loop_
_atom_site_label
_atom_site_fract_x
_atom_site_fract_y
_atom_site_fract_z
K1 0.060 0.530 0.000
K2 0.146 0.293 0.675
K3 0.146 0.854 0.675
K4 0.293 0.146 0.175
K5 0.470 0.530 0.000
K6 0.470 0.940 0.000
K7 0.530 0.060 0.500
K8 0.530 0.470 0.500
K9 0.707 0.854 0.675
K10 0.854 0.146 0.175
K11 0.854 0.707 0.175
K12 0.940 0.470 0.500
Mn1 0.333 0.667 0.386
Mn2 0.667 0.333 0.886
S1 0.197 0.394 0.287
S2 0.197 0.803 0.287
S3 0.333 0.667 0.703
S4 0.394 0.197 0.787
S5 0.606 0.803 0.287
S6 0.667 0.333 0.203
S7 0.803 0.197 0.787
S8 0.803 0.606 0.787
```



This entry pairs a crystal structure of GeTe6Au2 with its computed X-ray powder pattern. Radiation: Cu Kα (weighted mean of Kα1 and Kα2). Structure: DFT lattice parameters and positions (PBE).

Principal peaks in the range 2θ from 15° to 90°, sorted by position:
2θ = 24.6°, I 100
2θ = 25.9°, I 35
2θ = 26.2°, I 44
2θ = 27.8°, I 71
2θ = 34.4°, I 37
2θ = 34.7°, I 35
2θ = 36.5°, I 56
2θ = 38.6°, I 46
2θ = 42.5°, I 56
2θ = 44.6°, I 49

```
data_GeTe6Au2
_chemical_formula_sum 'Ge2 Te12 Au4'
_cell_length_a 9.480
_cell_length_b 9.480
_cell_length_c 7.346
_cell_angle_alpha 106.54
_cell_angle_beta 106.54
_cell_angle_gamma 102.18
_space_group_name_H-M_alt 'P 1'
_space_group_IT_number 1
_space_group_name_Hall 'P 1'
loop_
_atom_site_label
_atom_site_fract_x
_atom_site_fract_y
_atom_site_fract_z
Ge1 0.169 0.831 0.750
Ge2 0.831 0.169 0.250
Te1 0.024 0.166 0.597
Te2 0.060 0.572 0.817
Te3 0.166 0.024 0.097
Te4 0.308 0.502 0.411
Te5 0.428 0.940 0.683
Te6 0.498 0.692 0.089
Te7 0.502 0.308 0.911
Te8 0.572 0.060 0.317
Te9 0.692 0.498 0.589
Te10 0.834 0.976 0.903
Te11 0.940 0.428 0.183
Te12 0.976 0.834 0.403
Au1 0.282 0.428 0.752
Au2 0.428 0.282 0.252
Au3 0.572 0.718 0.748
Au4 0.718 0.572 0.248
```



This entry pairs a crystal structure of Li2ZrAlS4 with its computed X-ray powder pattern. Radiation: Cu Kα (weighted mean of Kα1 and Kα2). Structure: DFT lattice parameters and positions (PBE).

Principal peaks in the range 2θ from 15° to 90°, sorted by position:
2θ = 17.0°, I 19
2θ = 28.2°, I 13
2θ = 29.1°, I 41
2θ = 34.3°, I 52
2θ = 34.9°, I 100
2θ = 48.8°, I 17
2θ = 49.6°, I 33
2θ = 49.9°, I 33
2θ = 51.4°, I 15
2θ = 63.3°, I 16

```
data_Li2ZrAlS4
_chemical_formula_sum 'Li2 Zr1 Al1 S4'
_cell_length_a 6.397
_cell_length_b 3.553
_cell_length_c 6.445
_cell_angle_alpha 90.00
_cell_angle_beta 108.87
_cell_angle_gamma 90.00
_space_group_name_H-M_alt 'P 1'
_space_group_IT_number 1
_space_group_name_Hall 'P 1'
loop_
_atom_site_label
_atom_site_fract_x
_atom_site_fract_y
_atom_site_fract_z
Li1 0.000 0.000 0.000
Li2 0.000 0.500 0.500
Zr1 0.500 0.000 0.500
Al1 0.500 0.500 0.000
S1 0.258 0.500 0.236
S2 0.273 0.000 0.769
S3 0.727 0.000 0.231
S4 0.742 0.500 0.764
```



This entry pairs a crystal structure of CsCdBiH with its computed X-ray powder pattern. Radiation: Cu Kα (weighted mean of Kα1 and Kα2). Structure: DFT lattice parameters and positions (PBE).

Principal peaks in the range 2θ from 15° to 90°, sorted by position:
2θ = 23.9°, I 21
2θ = 28.7°, I 100
2θ = 31.3°, I 29
2θ = 32.1°, I 27
2θ = 37.7°, I 12
2θ = 45.5°, I 20
2θ = 48.6°, I 32
2θ = 54.2°, I 17
2θ = 55.2°, I 16
2θ = 69.2°, I 11

```
data_CsCdBiH
_chemical_formula_sum 'Cs1 Cd1 Bi1 H1'
_cell_length_a 7.961
_cell_length_b 7.936
_cell_length_c 3.989
_cell_angle_alpha 75.82
_cell_angle_beta 75.12
_cell_angle_gamma 29.07
_space_group_name_H-M_alt 'P 1'
_space_group_IT_number 1
_space_group_name_Hall 'P 1'
loop_
_atom_site_label
_atom_site_fract_x
_atom_site_fract_y
_atom_site_fract_z
Cs1 0.000 0.000 0.000
Cd1 0.702 0.702 0.298
Bi1 0.294 0.294 0.706
H1 0.578 0.578 0.422
```



This entry pairs a crystal structure of KLaB6C6 with its computed X-ray powder pattern. Radiation: Cu Kα (weighted mean of Kα1 and Kα2). Structure: DFT lattice parameters and positions (PBE).

Principal peaks in the range 2θ from 15° to 90°, sorted by position:
2θ = 18.2°, I 55
2θ = 25.8°, I 99
2θ = 31.8°, I 19
2θ = 36.8°, I 48
2θ = 41.4°, I 29
2θ = 45.5°, I 100
2θ = 53.1°, I 15
2θ = 56.6°, I 15
2θ = 60.0°, I 21
2θ = 72.5°, I 46

```
data_KLaB6C6
_chemical_formula_sum 'K1 La1 B6 C6'
_cell_length_a 4.878
_cell_length_b 4.878
_cell_length_c 4.878
_cell_angle_alpha 90.00
_cell_angle_beta 90.00
_cell_angle_gamma 90.00
_space_group_name_H-M_alt 'P 1'
_space_group_IT_number 1
_space_group_name_Hall 'P 1'
loop_
_atom_site_label
_atom_site_fract_x
_atom_site_fract_y
_atom_site_fract_z
K1 0.000 0.000 0.000
La1 0.500 0.500 0.500
B1 0.000 0.245 0.500
B2 0.000 0.755 0.500
B3 0.245 0.500 0.000
B4 0.500 0.000 0.245
B5 0.500 0.000 0.755
B6 0.755 0.500 0.000
C1 0.000 0.500 0.255
C2 0.000 0.500 0.745
C3 0.255 0.000 0.500
C4 0.500 0.255 0.000
C5 0.500 0.745 0.000
C6 0.745 0.000 0.500
```



This entry pairs a crystal structure of Sc6Au7 with its computed X-ray powder pattern. Radiation: Cu Kα (weighted mean of Kα1 and Kα2). Structure: DFT lattice parameters and positions (PBE).

Principal peaks in the range 2θ from 15° to 90°, sorted by position:
2θ = 18.2°, I 71
2θ = 18.5°, I 59
2θ = 22.0°, I 24
2θ = 37.0°, I 100
2θ = 37.2°, I 45
2θ = 37.5°, I 29
2θ = 40.2°, I 75
2θ = 43.1°, I 51
2θ = 66.7°, I 58
2θ = 78.8°, I 27

```
data_Sc6Au7
_chemical_formula_sum 'Sc6 Au7'
_cell_length_a 10.253
_cell_length_b 10.253
_cell_length_c 10.253
_cell_angle_alpha 31.75
_cell_angle_beta 31.75
_cell_angle_gamma 31.75
_space_group_name_H-M_alt 'P 1'
_space_group_IT_number 1
_space_group_name_Hall 'P 1'
loop_
_atom_site_label
_atom_site_fract_x
_atom_site_fract_y
_atom_site_fract_z
Sc1 0.051 0.051 0.051
Sc2 0.162 0.162 0.162
Sc3 0.331 0.331 0.331
Sc4 0.669 0.669 0.669
Sc5 0.838 0.838 0.838
Sc6 0.949 0.949 0.949
Au1 0.087 0.586 0.586
Au2 0.414 0.414 0.913
Au3 0.414 0.913 0.414
Au4 0.500 0.500 0.500
Au5 0.586 0.087 0.586
Au6 0.586 0.586 0.087
Au7 0.913 0.414 0.414
```